Record 1
Ba2Ca7: simulated X-ray diffraction stick pattern (Cu Ka), based on a structure optimized by DFT (PBE).

Main lines, sorted by position (2θ from 10° to 80°):
2θ 15.96, I 38; 2θ 27.83, I 100; 2θ 28.16, I 62; 2θ 29.68, I 24; 2θ 33.87, I 27; 2θ 40.00, I 22; 2θ 49.43, I 24; 2θ 55.59, I 26

Crystal structure
Unit cell a=11.106 b=11.106 c=3.859 alpha=90.00 beta=90.00 gamma=120.00
Sites, in units of the cell vectors:
Ba  0.333  0.667  0.000
Ba  0.667  0.333  0.000
Ca  0.000  0.000  0.500
Ca  0.000  0.345  0.500
Ca  0.000  0.694  0.000
Ca  0.306  0.306  0.000
Ca  0.345  0.000  0.500
Ca  0.655  0.655  0.500
Ca  0.694  0.000  0.000

---

Record 2
Ba9S2I14: simulated X-ray diffraction stick pattern (Cu Ka), based on a structure optimized by DFT (PBE).

Main lines, sorted by position (2θ from 10° to 80°):
2θ 18.75, I 59; 2θ 19.06, I 25; 2θ 21.77, I 27; 2θ 27.08, I 29; 2θ 27.84, I 52; 2θ 30.79, I 81; 2θ 31.18, I 100; 2θ 33.33, I 25

Crystal structure
Unit cell a=10.060 b=10.060 c=13.971 alpha=90.00 beta=90.00 gamma=120.00
Sites, in units of the cell vectors:
Ba  0.000  0.000  0.000
Ba  0.075  0.365  0.340
Ba  0.290  0.925  0.340
Ba  0.333  0.667  0.048
Ba  0.365  0.290  0.660
Ba  0.635  0.710  0.340
Ba  0.667  0.333  0.952
Ba  0.710  0.075  0.660
Ba  0.925  0.635  0.660
S  0.333  0.667  0.264
S  0.667  0.333  0.736
I  0.000  0.000  0.257
I  0.000  0.000  0.743
I  0.036  0.677  0.906
I  0.078  0.393  0.596
I  0.315  0.922  0.596
I  0.323  0.359  0.906
I  0.359  0.036  0.094
I  0.393  0.315  0.404
I  0.607  0.685  0.596
I  0.641  0.964  0.906
I  0.677  0.641  0.094
I  0.685  0.078  0.404
I  0.922  0.607  0.404
I  0.964  0.323  0.094

---

Record 3
Y5Hg2Ru: simulated X-ray diffraction stick pattern (Cu Ka), based on a structure optimized by DFT (PBE).

Main lines, sorted by position (2θ from 10° to 80°):
2θ 23.17, I 12; 2θ 25.47, I 20; 2θ 31.50, I 100; 2θ 32.34, I 18; 2θ 34.15, I 25; 2θ 35.20, I 30; 2θ 36.88, I 33; 2θ 45.34, I 12

Crystal structure
Unit cell a=7.300 b=11.968 c=4.874 alpha=90.00 beta=90.00 gamma=90.00
Sites, in units of the cell vectors:
Y  0.000  0.000  0.000
Y  0.142  0.295  0.000
Y  0.177  0.583  0.500
Y  0.323  0.083  0.500
Y  0.358  0.795  0.000
Y  0.500  0.500  0.000
Y  0.642  0.205  0.000
Y  0.677  0.917  0.500
Y  0.823  0.417  0.500
Y  0.858  0.705  0.000
Hg  0.080  0.839  0.500
Hg  0.420  0.339  0.500
Hg  0.580  0.661  0.500
Hg  0.920  0.161  0.500
Ru  0.000  0.500  0.000
Ru  0.500  0.000  0.000

---

Record 4
CsBa2TmF8: simulated X-ray diffraction stick pattern (Cu Ka), based on a structure optimized by DFT (PBE).

Main lines, sorted by position (2θ from 10° to 80°):
2θ 23.14, I 59; 2θ 25.28, I 100; 2θ 25.97, I 51; 2θ 28.55, I 43; 2θ 39.73, I 46; 2θ 39.92, I 22; 2θ 43.28, I 33; 2θ 46.23, I 21

Crystal structure
Unit cell a=4.549 b=8.666 c=6.092 alpha=90.00 beta=96.78 gamma=90.00
Sites, in units of the cell vectors:
Cs  0.000  0.000  0.000
Ba  0.500  0.256  0.500
Ba  0.500  0.744  0.500
Tm  0.000  0.500  0.000
F  0.044  0.313  0.762
F  0.044  0.687  0.762
F  0.430  0.500  0.207
F  0.449  0.000  0.714
F  0.551  0.000  0.286
F  0.570  0.500  0.793
F  0.956  0.313  0.238
F  0.956  0.687  0.238

---

Record 5
Tm2Zn3Hg2: simulated X-ray diffraction stick pattern (Cu Ka), based on a structure optimized by DFT (PBE).

Main lines, sorted by position (2θ from 10° to 80°):
2θ 30.14, I 54; 2θ 31.18, I 74; 2θ 35.48, I 100; 2θ 37.91, I 91; 2θ 38.52, I 92; 2θ 39.17, I 42; 2θ 67.46, I 31; 2θ 67.90, I 35

Crystal structure
Unit cell a=13.265 b=13.265 c=3.321 alpha=90.00 beta=90.00 gamma=165.18
Sites, in units of the cell vectors:
Tm  0.125  0.875  0.000
Tm  0.875  0.125  0.000
Zn  0.000  0.000  0.000
Zn  0.446  0.554  0.500
Zn  0.554  0.446  0.500
Hg  0.297  0.703  0.500
Hg  0.703  0.297  0.500

---

Record 6
EuScCdBi: simulated X-ray diffraction stick pattern (Cu Ka), based on a structure optimized by DFT (PBE).

Main lines, sorted by position (2θ from 10° to 80°):
2θ 20.24, I 16; 2θ 23.41, I 7; 2θ 33.35, I 100; 2θ 39.32, I 10; 2θ 47.88, I 18; 2θ 59.60, I 37; 2θ 70.04, I 12; 2θ 79.82, I 16

Crystal structure
Unit cell a=5.374 b=5.374 c=5.374 alpha=60.00 beta=60.00 gamma=60.00
Sites, in units of the cell vectors:
Eu  0.000  0.000  0.000
Sc  0.500  0.500  0.500
Cd  0.250  0.250  0.250
Bi  0.750  0.750  0.750

---

Record 7
SrBe3H8: simulated X-ray diffraction stick pattern (Cu Ka), based on a structure optimized by DFT (PBE).

Main lines, sorted by position (2θ from 10° to 80°):
2θ 14.06, I 97; 2θ 24.56, I 97; 2θ 25.91, I 84; 2θ 30.74, I 100; 2θ 33.95, I 49; 2θ 42.40, I 39; 2θ 44.89, I 41; 2θ 51.79, I 29

Crystal structure
Unit cell a=6.761 b=6.761 c=6.761 alpha=36.76 beta=36.76 gamma=36.76
Sites, in units of the cell vectors:
Sr  0.000  0.000  0.000
Be  0.235  0.235  0.235
Be  0.500  0.500  0.500
Be  0.765  0.765  0.765
H  0.130  0.479  0.736
H  0.264  0.870  0.521
H  0.311  0.311  0.311
H  0.479  0.736  0.130
H  0.521  0.264  0.870
H  0.689  0.689  0.689
H  0.736  0.130  0.479
H  0.870  0.521  0.264

---

Record 8
Mg2W: simulated X-ray diffraction stick pattern (Cu Ka), based on a structure optimized by DFT (PBE).

Main lines, sorted by position (2θ from 10° to 80°):
2θ 16.05, I 100; 2θ 17.64, I 28; 2θ 34.40, I 24; 2θ 37.48, I 43; 2θ 37.77, I 37; 2θ 38.26, I 38; 2θ 46.83, I 20; 2θ 50.01, I 17

Crystal structure
Unit cell a=6.607 b=3.438 c=10.054 alpha=90.00 beta=90.00 gamma=90.00
Sites, in units of the cell vectors:
Mg  0.136  0.250  0.077
Mg  0.139  0.250  0.756
Mg  0.361  0.750  0.256
Mg  0.364  0.750  0.577
Mg  0.636  0.250  0.423
Mg  0.639  0.250  0.744
Mg  0.861  0.750  0.244
Mg  0.864  0.750  0.923
W  0.088  0.250  0.429
W  0.412  0.750  0.929
W  0.588  0.250  0.071
W  0.912  0.750  0.571

---

Record 9
PmAlMo: simulated X-ray diffraction stick pattern (Cu Ka), based on a structure optimized by DFT (PBE).

Main lines, sorted by position (2θ from 10° to 80°):
2θ 21.35, I 54; 2θ 34.19, I 18; 2θ 35.16, I 100; 2θ 37.43, I 83; 2θ 37.88, I 14; 2θ 39.21, I 16; 2θ 52.29, I 24; 2θ 66.06, I 17

Crystal structure
Unit cell a=5.791 b=5.791 c=5.791 alpha=91.87 beta=91.87 gamma=91.87
Sites, in units of the cell vectors:
Pm  0.040  0.332  0.628
Pm  0.332  0.628  0.040
Pm  0.628  0.040  0.332
Al  0.163  0.832  0.508
Al  0.508  0.163  0.832
Al  0.832  0.508  0.163
Mo  0.100  0.100  0.100
Mo  0.577  0.577  0.577
Mo  0.841  0.841  0.841

---

Record 10
BaLiCuO2: simulated X-ray diffraction stick pattern (Cu Ka), based on a structure optimized by DFT (PBE).

Main lines, sorted by position (2θ from 10° to 80°):
2θ 25.12, I 58; 2θ 28.04, I 33; 2θ 30.81, I 60; 2θ 31.16, I 100; 2θ 36.35, I 25; 2θ 38.03, I 31; 2θ 44.17, I 36; 2θ 51.61, I 30

Crystal structure
Unit cell a=5.847 b=4.391 c=6.123 alpha=90.00 beta=101.18 gamma=90.00
Sites, in units of the cell vectors:
Ba  0.000  0.242  0.250
Ba  0.000  0.758  0.750
Li  0.500  0.474  0.750
Li  0.500  0.526  0.250
Cu  0.500  0.000  0.000
Cu  0.500  0.000  0.500
O  0.273  0.296  0.943
O  0.273  0.704  0.443
O  0.727  0.296  0.557
O  0.727  0.704  0.057

---

Record 11
Er4Tm2Th: simulated X-ray diffraction stick pattern (Cu Ka), based on a structure optimized by DFT (PBE).

Main lines, sorted by position (2θ from 10° to 80°):
2θ 29.02, I 38; 2θ 31.73, I 51; 2θ 32.77, I 100; 2θ 33.51, I 93; 2θ 51.37, I 41; 2θ 56.70, I 21; 2θ 58.15, I 19; 2θ 61.65, I 47

Crystal structure
Unit cell a=19.846 b=19.846 c=19.846 alpha=10.28 beta=10.28 gamma=10.28
Sites, in units of the cell vectors:
Er  0.000  0.000  0.000
Er  0.094  0.094  0.094
Er  0.475  0.475  0.475
Er  0.572  0.572  0.572
Tm  0.286  0.286  0.286
Tm  0.380  0.380  0.380
Th  0.190  0.190  0.190

---

Record 12
Al2PbCl8: simulated X-ray diffraction stick pattern (Cu Ka), based on a structure optimized by DFT (PBE).

Main lines, sorted by position (2θ from 10° to 80°):
2θ 11.80, I 100; 2θ 12.32, I 66; 2θ 18.66, I 42; 2θ 18.77, I 36; 2θ 21.12, I 30; 2θ 24.94, I 31; 2θ 27.98, I 60; 2θ 28.67, I 25

Crystal structure
Unit cell a=10.363 b=10.363 c=12.239 alpha=125.62 beta=125.62 gamma=50.21
Sites, in units of the cell vectors:
Al  0.142  0.665  0.958
Al  0.335  0.858  0.542
Al  0.665  0.142  0.458
Al  0.858  0.335  0.042
Pb  0.480  0.520  0.750
Pb  0.520  0.480  0.250
Cl  0.117  0.169  0.031
Cl  0.142  0.632  0.765
Cl  0.169  0.117  0.531
Cl  0.236  0.664  0.357
Cl  0.262  0.402  0.966
Cl  0.336  0.764  0.143
Cl  0.368  0.858  0.735
Cl  0.402  0.262  0.466
Cl  0.598  0.738  0.534
Cl  0.632  0.142  0.265
Cl  0.664  0.236  0.857
Cl  0.738  0.598  0.034
Cl  0.764  0.336  0.643
Cl  0.831  0.883  0.469
Cl  0.858  0.368  0.235
Cl  0.883  0.831  0.969

---

Record 13
Ca2Al9Co: simulated X-ray diffraction stick pattern (Cu Ka), based on a structure optimized by DFT (PBE).

Main lines, sorted by position (2θ from 10° to 80°):
2θ 18.82, I 25; 2θ 34.82, I 38; 2θ 34.86, I 32; 2θ 38.18, I 100; 2θ 40.44, I 73; 2θ 43.63, I 18; 2θ 44.21, I 58; 2θ 46.09, I 20

Crystal structure
Unit cell a=5.623 b=3.074 c=13.264 alpha=90.00 beta=102.10 gamma=90.00
Sites, in units of the cell vectors:
Ca  0.146  0.000  0.293
Ca  0.854  0.000  0.707
Al  0.000  0.000  0.000
Al  0.000  0.000  0.500
Al  0.210  0.500  0.877
Al  0.332  0.500  0.123
Al  0.338  0.500  0.676
Al  0.500  0.000  0.500
Al  0.662  0.500  0.324
Al  0.668  0.500  0.877
Al  0.790  0.500  0.123
Co  0.500  0.000  0.000